No. 1
Structure and theoretical powder XRD pattern of Nd12HoTl7 (a crystal structure in Alexandria, relaxed with GGA-PBE; a wavelength of 1.5418 Å).

Structural model:
Cell: 13.8752 13.8752 12.2133 Å, 90.00 90.00 120.00°
Space group R-3 (No. 148, hexagonal axes)
Symmetry-distinct sites (fractional):
Nd1 0.0207 0.5794 0.2592 x18
Nd2 0.0636 0.8742 0.3141 x18
Ho1 0.0000 0.0000 0.0000 x3
Tl1 0.0000 0.0000 0.5000 x3
Tl2 0.0960 0.8815 0.8634 x18

Peak list (10 most intense, 10 to 90 degrees two-theta, in order of rising 2θ)
| d [Å] | two_theta | intensity | (hkl) |
| --- | --- | --- | --- |
| 4.283 | 20.74 | 96 | 2 0 2 |
| 3.511 | 25.37 | 114 | 2 -1 3 |
| 3.215 | 27.75 | 213 | 4 -3 1 |
| 2.925 | 30.56 | 1000 | 4 -1 2 |
| 2.855 | 31.33 | 183 | 3 0 3 |
| 2.722 | 32.90 | 268 | 0 2 4 |
| 2.313 | 38.95 | 144 | 3 3 0 |
| 2.251 | 40.05 | 151 | 1 3 4 |
| 2.035 | 44.53 | 168 | 1 5 2 |
| 1.924 | 47.24 | 142 | 5 2 0 |

=====

No. 2
Structure and theoretical powder XRD pattern of Sm2Tm3Pb3 (a crystal structure in Alexandria, relaxed with GGA-PBE; a wavelength of 1.5418 Å).

Structural model:
Cell: 4.440 4.874 21.244 Å, 90.00 90.00 90.00°
Space group Immm (No. 71)
Symmetry-distinct sites (fractional):
Sm1 0.000 0.000 0.245 x4
Tm1 0.000 0.000 0.000 x2
Tm2 0.000 0.500 0.121 x4
Pb1 0.000 0.000 0.500 x2
Pb2 0.000 0.500 0.372 x4

Peak list (10 most intense, 10 to 90 degrees two-theta, in order of rising 2θ)
| d [Å] | two_theta | intensity | (hkl) |
| --- | --- | --- | --- |
| 2.792 | 32.06 | 1000 | 1 1 4 |
| 2.655 | 33.75 | 213 | 0 0 8 |
| 2.437 | 36.89 | 174 | 0 2 0 |
| 2.220 | 40.64 | 133 | 2 0 0 |
| 1.795 | 50.86 | 144 | 0 2 8 |
| 1.703 | 53.82 | 115 | 2 0 8 |
| 1.558 | 59.31 | 166 | 1 1 12 |
| 1.466 | 63.44 | 144 | 1 3 4 |
| 1.396 | 67.04 | 127 | 2 2 8 |
| 1.368 | 68.58 | 115 | 3 1 4 |

=====

No. 3
Structure and theoretical powder XRD pattern of Pm2PrHg8 (a crystal structure in Alexandria, relaxed with GGA-PBE; a wavelength of 1.5418 Å).

Structural model:
Cell: 16.260 5.073 7.351 Å, 90.00 110.12 90.00°
Space group C2/m (No. 12)
Symmetry-distinct sites (fractional):
Pm1 0.209 0.000 0.152 x4
Pr1 0.000 0.500 0.500 x2
Hg1 0.023 0.000 0.227 x4
Hg2 0.094 0.500 0.960 x4
Hg3 0.152 0.000 0.676 x4
Hg4 0.174 0.500 0.401 x4

Peak list (10 most intense, 10 to 90 degrees two-theta, in order of rising 2θ)
| d [Å] | two_theta | intensity | (hkl) |
| --- | --- | --- | --- |
| 2.727 | 32.84 | 851 | 5 1 -1 |
| 2.671 | 33.55 | 1000 | 1 1 2 |
| 2.537 | 35.39 | 439 | 0 2 0 |
| 2.362 | 38.10 | 298 | 4 0 -3 |
| 2.159 | 41.85 | 208 | 6 0 1 |
| 1.729 | 52.97 | 236 | 4 2 -3 |
| 1.644 | 55.93 | 179 | 6 2 1 |
| 1.499 | 61.92 | 141 | 5 3 -1 |
| 1.489 | 62.36 | 171 | 1 3 2 |
| 1.408 | 66.39 | 124 | 3 1 -5 |

=====

No. 4
Structure and theoretical powder XRD pattern of Sr4AgSn3O12 (a crystal structure in Alexandria, relaxed with GGA-PBE; a wavelength of 1.5418 Å).

Structural model:
Cell: 8.233 8.233 8.233 Å, 90.00 90.00 90.00°
Space group Im-3m (No. 229)
Symmetry-distinct sites (fractional):
Sr1 0.250 0.250 0.250 x8
Ag1 0.000 0.000 0.000 x2
Sn1 0.000 0.000 0.500 x6
O1 0.000 0.000 0.253 x12
O2 0.000 0.250 0.500 x12

Peak list (10 most intense, 10 to 90 degrees two-theta, in order of rising 2θ)
| d [Å] | two_theta | intensity | (hkl) |
| --- | --- | --- | --- |
| 4.117 | 21.59 | 78 | 2 0 0 |
| 2.911 | 30.71 | 1000 | 2 2 0 |
| 2.058 | 43.99 | 331 | 4 0 0 |
| 1.841 | 49.51 | 32 | 4 2 0 |
| 1.681 | 54.61 | 408 | 4 2 2 |
| 1.455 | 63.97 | 205 | 4 4 0 |
| 1.372 | 68.36 | 15 | 6 0 0 |
| 1.302 | 72.63 | 181 | 6 2 0 |
| 1.188 | 80.89 | 69 | 4 4 4 |
| 1.100 | 88.97 | 229 | 6 4 2 |

=====

Copy entry 3 word for word.
Structure and theoretical powder XRD pattern of Pm2PrHg8 (a crystal structure in Alexandria, relaxed with GGA-PBE; a wavelength of 1.5418 Å).

Structural model:
Cell: 16.260 5.073 7.351 Å, 90.00 110.12 90.00°
Space group C2/m (No. 12)
Symmetry-distinct sites (fractional):
Pm1 0.209 0.000 0.152 x4
Pr1 0.000 0.500 0.500 x2
Hg1 0.023 0.000 0.227 x4
Hg2 0.094 0.500 0.960 x4
Hg3 0.152 0.000 0.676 x4
Hg4 0.174 0.500 0.401 x4

Peak list (10 most intense, 10 to 90 degrees two-theta, in order of rising 2θ)
| d [Å] | two_theta | intensity | (hkl) |
| --- | --- | --- | --- |
| 2.727 | 32.84 | 851 | 5 1 -1 |
| 2.671 | 33.55 | 1000 | 1 1 2 |
| 2.537 | 35.39 | 439 | 0 2 0 |
| 2.362 | 38.10 | 298 | 4 0 -3 |
| 2.159 | 41.85 | 208 | 6 0 1 |
| 1.729 | 52.97 | 236 | 4 2 -3 |
| 1.644 | 55.93 | 179 | 6 2 1 |
| 1.499 | 61.92 | 141 | 5 3 -1 |
| 1.489 | 62.36 | 171 | 1 3 2 |
| 1.408 | 66.39 | 124 | 3 1 -5 |